(1)
The following is a calculated XRD peak list of KEr2AgTe4. It was derived from a cell relaxed with GGA-PBE, using CuKα.
Lines closer than 0.1° are merged.

Cell and atoms:
Cell: 4.424 14.908 15.760 Å, 90.00 90.00 90.00°
Space group Cmcm (No. 63)
One atom of each set of equivalent atoms:
K (0.000, 0.128, 0.250) [4 per cell]
Er (0.000, 0.370, 0.070) [8 per cell]
Ag (0.000, 0.160, 0.750) [4 per cell]
Te (0.000, 0.000, 0.000) [4 per cell]
Te (0.000, 0.268, 0.604) [8 per cell]
Te (0.000, 0.452, 0.250) [4 per cell]

The 8 most intense peaks (10 to 90 degrees two-theta), by angle:
hkl 0 2 1, 2θ = 13.14°, rel. 67; hkl 0 2 4, 2θ = 25.57°, rel. 39; hkl 1 3 1, 2θ = 27.58°, rel. 50; hkl 1 3 2, 2θ = 29.31°, rel. 100; hkl 1 3 3, 2θ = 32.00°, rel. 27; hkl 0 6 3, 2θ = 40.15°, rel. 27; hkl 1 5 3, 2θ = 40.33°, rel. 87; hkl 2 0 0, 2θ = 40.79°, rel. 35

(2)
The following is a calculated XRD peak list of LaEr3Ag4. It was derived from a cell relaxed with GGA-PBE, using CuKα.
Lines closer than 0.1° are merged.

Cell and atoms:
Cell: 10.340 7.356 5.171 Å, 90.00 90.00 90.00°
Space group Pmma (No. 51)
One atom of each set of equivalent atoms:
La (0.000, 0.000, 0.000) [2 per cell]
Er (0.000, 0.500, 0.000) [2 per cell]
Er (0.250, 0.000, 0.499) [2 per cell]
Er (0.250, 0.500, 0.499) [2 per cell]
Ag (0.000, 0.267, 0.500) [4 per cell]
Ag (0.250, 0.267, 0.999) [4 per cell]

The 8 most intense peaks (10 to 90 degrees two-theta), by angle:
hkl 0 0 2, 2θ = 34.61°, rel. 100; hkl 4 0 0, 2θ = 34.70°, rel. 20; hkl 0 4 0, 2θ = 49.57°, rel. 7; hkl 4 0 2, 2θ = 49.88°, rel. 14; hkl 4 4 0, 2θ = 61.92°, rel. 14; hkl 6 2 1, 2θ = 62.12°, rel. 28; hkl 4 4 2, 2θ = 72.97°, rel. 8; hkl 8 0 2, 2θ = 83.61°, rel. 13

(3)
The following is a calculated XRD peak list of LaErAg. It was derived from a cell relaxed with GGA-PBE, using CuKα.
Lines closer than 0.1° are merged.

Cell and atoms:
Cell: 4.886 4.886 7.512 Å, 90.00 90.00 90.00°
Space group P4/nmm (No. 129, origin choice 2)
One atom of each set of equivalent atoms:
La (0.250, 0.250, 0.123) [2 per cell]
Er (0.250, 0.750, 0.500) [2 per cell]
Ag (0.250, 0.250, 0.727) [2 per cell]

The 8 most intense peaks (10 to 90 degrees two-theta), by angle:
hkl 1 1 1, 2θ = 28.43°, rel. 100; hkl 1 0 2, 2θ = 30.01°, rel. 41; hkl 1 1 2, 2θ = 35.30°, rel. 68; hkl 2 0 0, 2θ = 36.79°, rel. 71; hkl 1 0 3, 2θ = 40.48°, rel. 26; hkl 2 2 0, 2θ = 53.01°, rel. 25; hkl 3 1 1, 2θ = 61.24°, rel. 23; hkl 3 1 2, 2θ = 65.30°, rel. 22

(4)
The following is a calculated XRD peak list of LaEr4Ag5. It was derived from a cell relaxed with GGA-PBE, using CuKα.
Lines closer than 0.1° are merged.

Cell and atoms:
Cell: 3.606 3.606 18.628 Å, 90.00 90.00 90.00°
Space group P4/mmm (No. 123)
One atom of each set of equivalent atoms:
La (0.000, 0.000, 0.000) [1 per cell]
Er (0.000, 0.000, 0.208) [2 per cell]
Er (0.000, 0.000, 0.402) [2 per cell]
Ag (0.500, 0.500, 0.116) [2 per cell]
Ag (0.500, 0.500, 0.305) [2 per cell]
Ag (0.500, 0.500, 0.500) [1 per cell]

The 8 most intense peaks (10 to 90 degrees two-theta), by angle:
hkl 1 0 5, 2θ = 34.62°, rel. 100; hkl 1 1 0, 2θ = 35.20°, rel. 51; hkl 0 0 10, 2θ = 48.89°, rel. 8; hkl 2 0 0, 2θ = 50.63°, rel. 18; hkl 1 1 10, 2θ = 61.66°, rel. 15; hkl 2 1 5, 2θ = 62.78°, rel. 35; hkl 2 0 10, 2θ = 73.03°, rel. 9; hkl 3 1 0, 2θ = 85.07°, rel. 8

(5)
The following is a calculated XRD peak list of La2ErAg5. It was derived from a cell relaxed with GGA-PBE, using CuKα.
Lines closer than 0.1° are merged.

Cell and atoms:
Cell: 5.157 5.157 14.649 Å, 90.00 90.00 90.00°
Space group I4/mmm (No. 139)
One atom of each set of equivalent atoms:
La (0.000, 0.000, 0.229) [4 per cell]
Er (0.000, 0.000, 0.500) [2 per cell]
Ag (0.000, 0.000, 0.000) [2 per cell]
Ag (0.000, 0.500, 0.107) [8 per cell]

The 8 most intense peaks (10 to 90 degrees two-theta), by angle:
hkl 1 0 3, 2θ = 25.12°, rel. 4; hkl 2 0 0, 2θ = 34.75°, rel. 100; hkl 1 1 6, 2θ = 44.67°, rel. 5; hkl 2 2 0, 2θ = 50.03°, rel. 13; hkl 2 0 8, 2θ = 62.18°, rel. 6; hkl 3 1 4, 2θ = 62.33°, rel. 22; hkl 4 0 0, 2θ = 73.45°, rel. 5; hkl 4 2 0, 2θ = 83.89°, rel. 12

(6)
The following is a calculated XRD peak list of LaEr2Ag3. It was derived from a cell relaxed with GGA-PBE, using CuKα.
Lines closer than 0.1° are merged.

Cell and atoms:
Cell: 3.638 3.638 11.238 Å, 90.00 90.00 90.00°
Space group P4/mmm (No. 123)
One atom of each set of equivalent atoms:
La (0.000, 0.000, 0.000) [1 per cell]
Er (0.000, 0.000, 0.341) [2 per cell]
Ag (0.500, 0.500, 0.190) [2 per cell]
Ag (0.500, 0.500, 0.500) [1 per cell]

The 8 most intense peaks (10 to 90 degrees two-theta), by angle:
hkl 1 0 3, 2θ = 34.36°, rel. 100; hkl 1 1 0, 2θ = 34.88°, rel. 51; hkl 0 0 6, 2θ = 48.61°, rel. 8; hkl 2 0 0, 2θ = 50.16°, rel. 18; hkl 1 1 6, 2θ = 61.22°, rel. 15; hkl 2 1 3, 2θ = 62.22°, rel. 35; hkl 2 0 6, 2θ = 72.43°, rel. 9; hkl 3 1 0, 2θ = 84.16°, rel. 8